Simulated XRD peak list
Compound: Li4In2GaAu
Radiation: Cu Ka
Structure: a cell relaxed with PBE
Neutral-atom scattering factors, no anomalous dispersion.

Atomic structure:
Cell: 4.5674 4.5674 6.5973 Å, 90.00 90.00 90.00°
Space group P-4m2 (No. 115)
One atom of each set of equivalent atoms:
Li  0.0000  0.0000  0.0000 x1
Li  0.0000  0.5000  0.7448 x2
Li  0.5000  0.5000  0.5000 x1
In  0.0000  0.5000  0.2495 x2
Ga  0.5000  0.5000  0.0000 x1
Au  0.0000  0.0000  0.5000 x1

Principal peaks in the range 2θ from 10° to 90°, in order of falling intensity:
| d [Å] | intensity | index |
| --- | --- | --- |
| 3.755 | 100 | 1 0 1 |
| 2.308 | 64 | 1 1 2 |
| 1.951 | 33 | 2 1 1 |
| 2.284 | 31 | 2 0 0 |
| 1.323 | 21 | 3 1 2 |
| 1.981 | 17 | 1 0 3 |

***

Simulated XRD peak list
Compound: Nb4TlBrO5
Radiation: Cu Ka
Structure: a cell relaxed with PBE
Neutral-atom scattering factors, no anomalous dispersion.

Atomic structure:
Cell: 4.2235 4.2235 9.5033 Å, 90.00 90.00 90.00°
Space group P4/mmm (No. 123)
One atom of each set of equivalent atoms:
Nb  0.0000  0.0000  0.2101 x2
Nb  0.0000  0.5000  0.0000 x2
Tl  0.5000  0.5000  0.5000 x1
Br  0.0000  0.0000  0.5000 x1
O  0.0000  0.5000  0.2206 x4
O  0.5000  0.5000  0.0000 x1

Principal peaks in the range 2θ from 10° to 90°, in order of falling intensity:
| d [Å] | intensity | index |
| --- | --- | --- |
| 2.849 | 100 | 1 1 1 |
| 2.173 | 80 | 1 1 3 |
| 3.157 | 68 | 1 0 2 |
| 2.112 | 66 | 2 0 0 |
| 1.578 | 37 | 2 0 4 |
| 2.376 | 35 | 0 0 4 |

***

Simulated XRD peak list
Compound: SmHo2ErAl2
Radiation: Cu Ka
Structure: a cell relaxed with PBE
Neutral-atom scattering factors, no anomalous dispersion.

Atomic structure:
Cell: 5.2306 5.2306 6.6553 Å, 90.00 90.00 120.00°
Space group P-6m2 (No. 187)
One atom of each set of equivalent atoms:
Sm  0.0000  0.0000  0.0000 x1
Ho  0.6667  0.3333  0.2542 x2
Er  0.3333  0.6667  0.5000 x1
Al  0.0000  0.0000  0.5000 x1
Al  0.3333  0.6667  0.0000 x1

Principal peaks in the range 2θ from 10° to 90°, in order of falling intensity:
| d [Å] | intensity | index |
| --- | --- | --- |
| 2.682 | 100 | 1 0 2 |
| 2.615 | 87 | 1 1 0 |
| 3.745 | 46 | 1 0 1 |
| 1.522 | 36 | 2 1 2 |
| 1.872 | 35 | 2 0 2 |
| 1.404 | 25 | 1 1 4 |